# Ba4CaNd3Co8O22
Theoretical powder diffraction line list, Cu Kα (weighted mean of Kα1 and Kα2). Input: the PBE+U geometry in Alexandria.
Intensities are scaled so that the largest is 100.

Atomic structure:
Cell lengths 7.895, 15.497, 15.804 Å; angles 90.00, 90.00, 90.00 degrees
Space group Fmm2 (No. 42)
Unique sites:
Ba: 0.000 0.248 0.000 [8 per cell]
Ba: 0.000 0.249 0.751 [8 per cell]
Ca: 0.000 0.000 0.005 [4 per cell]
Nd: 0.000 0.000 0.239 [4 per cell]
Nd: 0.000 0.000 0.510 [4 per cell]
Nd: 0.000 0.000 0.741 [4 per cell]
Co: 0.249 0.123 0.876 [16 per cell]
Co: 0.249 0.124 0.122 [16 per cell]
O: 0.000 0.098 0.377 [8 per cell]
O: 0.000 0.100 0.872 [8 per cell]
O: 0.000 0.112 0.127 [8 per cell]
O: 0.000 0.119 0.625 [8 per cell]
O: 0.230 0.000 0.630 [8 per cell]
O: 0.247 0.101 0.263 [16 per cell]
O: 0.249 0.100 0.989 [16 per cell]
O: 0.250 0.250 0.125 [8 per cell]
O: 0.250 0.250 0.376 [8 per cell]

Most intense lines, 5 to 70 degrees two-theta, low angle first:
hkl, 2θ (°), I/Imax
2 0 0, 22.5, 9
2 0 4, 32.1, 46
0 4 4, 32.4, 100
2 4 4, 39.8, 19
4 0 0, 46.0, 31
0 8 0, 46.9, 13
4 4 4, 57.3, 37
2 8 4, 57.9, 20
4 0 8, 67.0, 9
4 8 0, 67.8, 15